# K2Cr2O7
Computed powder diffraction line list, Cu Kα, 1.54184 Å. Input: a cell relaxed with PBE+U.
Lines closer than 0.1° are merged.

Main lines, low angle first (2θ = 10–90°):
- 2θ 17.52, intensity 57, hkl 1 1 -1
- 2θ 26.10, intensity 78, hkl 0 2 1
- 2θ 26.32, intensity 100, hkl 2 0 -2
- 2θ 26.67, intensity 70, hkl 4 0 0
- 2θ 27.29, intensity 75, hkl 2 0 2
- 2θ 29.16, intensity 52, hkl 2 2 -1

Structural model:
```
data_K2Cr2O7
_cell_length_a 13.378
_cell_length_b 7.626
_cell_length_c 7.670
_cell_angle_alpha 90.00
_cell_angle_beta 92.30
_cell_angle_gamma 90.00
_space_group_name_H-M_alt 'C 1 2/c 1'
_space_group_IT_number 15
_space_group_name_Hall '-C 2yc'
loop_
_atom_site_label
_atom_site_fract_x
_atom_site_fract_y
_atom_site_fract_z
K1 0.145 0.149 0.356
Cr1 0.102 0.324 0.863
O1 0.000 0.431 0.750
O2 0.060 0.196 0.015
O3 0.162 0.204 0.723
O4 0.176 0.475 0.947
```

# SrLa2Mn3O9
Computed powder diffraction line list, Cu Kα, 1.54184 Å. Input: a cell relaxed with PBE+U.
Lines closer than 0.1° are merged.

Main lines, low angle first (2θ = 10–90°):
- 2θ 31.94, intensity 19, hkl 4 0 -2
- 2θ 32.33, intensity 100, hkl 4 1 1
- 2θ 46.10, intensity 26, hkl 4 2 -2
- 2θ 57.17, intensity 17, hkl 8 1 -1
- 2θ 57.66, intensity 23, hkl 8 0 2
- 2θ 67.67, intensity 18, hkl 0 4 0

Structural model:
```
data_SrLa2Mn3O9
_cell_length_a 13.640
_cell_length_b 5.536
_cell_length_c 9.603
_cell_angle_alpha 90.00
_cell_angle_beta 90.94
_cell_angle_gamma 90.00
_space_group_name_H-M_alt 'P 1 21/c 1'
_space_group_IT_number 14
_space_group_name_Hall '-P 2ybc'
loop_
_atom_site_label
_atom_site_fract_x
_atom_site_fract_y
_atom_site_fract_z
Sr1 0.250 0.008 0.004
La1 0.083 0.509 0.170
La2 0.415 0.508 0.837
Mn1 0.000 0.000 0.000
Mn2 0.168 0.001 0.334
Mn3 0.333 0.001 0.667
Mn4 0.500 0.000 0.000
O1 0.066 0.735 0.900
O2 0.073 0.238 0.890
O3 0.100 0.502 0.651
O4 0.228 0.003 0.523
O5 0.258 0.742 0.273
O6 0.266 0.236 0.268
O7 0.406 0.745 0.564
O8 0.414 0.234 0.557
O9 0.440 0.502 0.311
```

# SrEuHfFeO6
Computed powder diffraction line list, Cu Kα, 1.54184 Å. Input: a cell relaxed with PBE+U.
Lines closer than 0.1° are merged.

Main lines, low angle first (2θ = 10–90°):
- 2θ 19.13, intensity 19, hkl 1 1 1
- 2θ 31.49, intensity 100, hkl 2 2 0
- 2θ 45.13, intensity 30, hkl 4 0 0
- 2θ 56.06, intensity 40, hkl 4 2 2
- 2θ 65.73, intensity 18, hkl 4 4 0
- 2θ 74.70, intensity 17, hkl 6 2 0

Structural model:
```
data_SrEuHfFeO6
_cell_length_a 8.036
_cell_length_b 8.036
_cell_length_c 8.036
_cell_angle_alpha 90.00
_cell_angle_beta 90.00
_cell_angle_gamma 90.00
_space_group_name_H-M_alt 'F -4 3 m'
_space_group_IT_number 216
_space_group_name_Hall 'F -4 2 3'
loop_
_atom_site_label
_atom_site_fract_x
_atom_site_fract_y
_atom_site_fract_z
Sr1 0.000 0.000 0.000
Eu1 0.000 0.000 0.500
Hf1 0.250 0.250 0.250
Fe1 0.250 0.250 0.750
O1 0.004 0.250 0.750
```

# Sr3Co2O6
Computed powder diffraction line list, Cu Kα, 1.54184 Å. Input: a cell relaxed with PBE+U.
Lines closer than 0.1° are merged.

Main lines, low angle first (2θ = 10–90°):
- 2θ 30.34, intensity 15, hkl 0 1 2
- 2θ 30.52, intensity 27, hkl 0 2 1
- 2θ 30.88, intensity 27, hkl 2 0 1
- 2θ 32.09, intensity 100, hkl -2 1 1
- 2θ 44.75, intensity 18, hkl 1 -1 3
- 2θ 45.27, intensity 16, hkl 1 3 -1

Structural model:
```
data_Sr3Co2O6
_cell_length_a 6.611
_cell_length_b 6.663
_cell_length_c 6.728
_cell_angle_alpha 92.26
_cell_angle_beta 92.89
_cell_angle_gamma 93.53
_space_group_name_H-M_alt 'P 1'
_space_group_IT_number 1
_space_group_name_Hall 'P 1'
loop_
_atom_site_label
_atom_site_fract_x
_atom_site_fract_y
_atom_site_fract_z
Sr1 0.000 0.000 0.000
Sr2 0.133 0.498 0.861
Sr3 0.362 0.269 0.370
Sr4 0.497 0.767 0.232
Sr5 0.632 0.629 0.729
Sr6 0.862 0.136 0.501
Co1 0.001 0.632 0.359
Co2 0.246 0.884 0.616
Co3 0.501 0.128 0.872
Co4 0.746 0.385 0.115
O1 0.025 0.349 0.205
O2 0.154 0.921 0.334
O3 0.206 0.167 0.704
O4 0.287 0.599 0.527
O5 0.338 0.845 0.898
O6 0.470 0.421 0.027
O7 0.521 0.972 0.578
O8 0.658 0.106 0.156
O9 0.706 0.476 0.400
O10 0.789 0.293 0.830
O11 0.833 0.662 0.073
O12 0.973 0.797 0.656
```

# Li2MnSiCO7
Computed powder diffraction line list, Cu Kα, 1.54184 Å. Input: a cell relaxed with PBE+U.
Lines closer than 0.1° are merged.

Main lines, low angle first (2θ = 10–90°):
- 2θ 10.52, intensity 100, hkl 0 0 1
- 2θ 17.55, intensity 63, hkl 0 1 1
- 2θ 21.13, intensity 38, hkl 1 0 1
- 2θ 26.62, intensity 40, hkl 1 0 -2
- 2θ 28.25, intensity 69, hkl 0 2 0
- 2θ 35.54, intensity 36, hkl 2 0 0

Structural model:
```
data_Li2MnSiCO7
_cell_length_a 5.063
_cell_length_b 6.318
_cell_length_c 8.433
_cell_angle_alpha 90.00
_cell_angle_beta 93.97
_cell_angle_gamma 90.00
_space_group_name_H-M_alt 'P 1 21/m 1'
_space_group_IT_number 11
_space_group_name_Hall '-P 2yb'
loop_
_atom_site_label
_atom_site_fract_x
_atom_site_fract_y
_atom_site_fract_z
Li1 0.216 0.004 0.264
Mn1 0.199 0.250 0.840
Si1 0.282 0.750 0.925
C1 0.269 0.250 0.556
O1 0.036 0.250 0.614
O2 0.158 0.750 0.101
O3 0.178 0.547 0.819
O4 0.304 0.250 0.410
O5 0.392 0.250 0.042
O6 0.464 0.250 0.668
```

# RbW3O9
Computed powder diffraction line list, Cu Kα, 1.54184 Å. Input: a cell relaxed with PBE+U.
Lines closer than 0.1° are merged.

Main lines, low angle first (2θ = 10–90°):
- 2θ 23.10, intensity 33, hkl 0 0 2
- 2θ 26.93, intensity 36, hkl 1 0 2
- 2θ 27.50, intensity 100, hkl 2 0 0
- 2θ 36.21, intensity 32, hkl 2 0 2
- 2θ 48.62, intensity 24, hkl 2 2 0
- 2θ 55.51, intensity 28, hkl 2 0 4

Structural model:
```
data_RbW3O9
_cell_length_a 7.4910
_cell_length_b 7.4910
_cell_length_c 7.6995
_cell_angle_alpha 90.00
_cell_angle_beta 90.00
_cell_angle_gamma 120.00
_space_group_name_H-M_alt 'P 63 c m'
_space_group_IT_number 185
_space_group_name_Hall 'P 6c -2'
loop_
_atom_site_label
_atom_site_fract_x
_atom_site_fract_y
_atom_site_fract_z
Rb1 0.0000 0.0000 0.0000
W1 0.0000 0.4865 0.2480
O1 0.0000 0.5000 0.4980
O2 0.2091 0.4224 0.7481
```

# Mn2ZnO4
Computed powder diffraction line list, Cu Kα, 1.54184 Å. Input: a cell relaxed with PBE+U.
Lines closer than 0.1° are merged.

Main lines, low angle first (2θ = 10–90°):
- 2θ 32.36, intensity 27, hkl 1 1 1
- 2θ 33.04, intensity 100, hkl 0 2 3
- 2θ 36.24, intensity 54, hkl 0 4 0
- 2θ 41.61, intensity 53, hkl 1 3 1
- 2θ 44.77, intensity 35, hkl 1 3 2
- 2θ 57.13, intensity 21, hkl 1 1 5

Structural model:
```
data_Mn2ZnO4
_cell_length_a 3.016
_cell_length_b 9.903
_cell_length_c 9.721
_cell_angle_alpha 90.00
_cell_angle_beta 90.00
_cell_angle_gamma 90.00
_space_group_name_H-M_alt 'P b c m'
_space_group_IT_number 57
_space_group_name_Hall '-P 2c 2b'
loop_
_atom_site_label
_atom_site_fract_x
_atom_site_fract_y
_atom_site_fract_z
Mn1 0.205 0.116 0.070
Zn1 0.325 0.646 0.750
O1 0.177 0.207 0.250
O2 0.211 0.030 0.613
O3 0.375 0.750 0.000
```

# BaMgVO3
Computed powder diffraction line list, Cu Kα, 1.54184 Å. Input: a cell relaxed with PBE+U.
Lines closer than 0.1° are merged.

Main lines, low angle first (2θ = 10–90°):
- 2θ 19.81, intensity 28, hkl 1 1 0
- 2θ 26.14, intensity 33, hkl 1 1 -1
- 2θ 29.88, intensity 100, hkl 1 1 1
- 2θ 42.44, intensity 30, hkl 1 1 -2
- 2θ 42.66, intensity 30, hkl 2 2 -1
- 2θ 42.80, intensity 29, hkl 3 1 0

Structural model:
```
data_BaMgVO3
_cell_length_a 6.912
_cell_length_b 5.973
_cell_length_c 4.604
_cell_angle_alpha 90.00
_cell_angle_beta 101.33
_cell_angle_gamma 90.00
_space_group_name_H-M_alt 'C 1 m 1'
_space_group_IT_number 8
_space_group_name_Hall 'C -2y'
loop_
_atom_site_label
_atom_site_fract_x
_atom_site_fract_y
_atom_site_fract_z
Ba1 0.000 0.000 0.000
Mg1 0.358 0.000 0.639
V1 0.141 0.500 0.357
O1 0.115 0.500 0.883
O2 0.368 0.249 0.383
```

# AlV2O4
Computed powder diffraction line list, Cu Kα, 1.54184 Å. Input: a cell relaxed with PBE+U.
Lines closer than 0.1° are merged.

Main lines, low angle first (2θ = 10–90°):
- 2θ 18.31, intensity 61, hkl 1 0 1
- 2θ 35.58, intensity 100, hkl -2 1 1
- 2θ 42.33, intensity 57, hkl 2 2 0
- 2θ 43.17, intensity 53, hkl 2 -2 0
- 2θ 43.45, intensity 51, hkl 0 0 4
- 2θ 62.40, intensity 57, hkl 4 0 0

Structural model:
```
data_AlV2O4
_cell_length_a 5.958
_cell_length_b 6.010
_cell_length_c 8.332
_cell_angle_alpha 89.79
_cell_angle_beta 89.78
_cell_angle_gamma 88.93
_space_group_name_H-M_alt 'P -1'
_space_group_IT_number 2
_space_group_name_Hall '-P 1'
loop_
_atom_site_label
_atom_site_fract_x
_atom_site_fract_y
_atom_site_fract_z
Al1 0.002 0.248 0.129
Al2 0.498 0.751 0.627
V1 0.000 0.000 0.500
V2 0.000 0.500 0.500
V3 0.245 0.252 0.747
V4 0.258 0.748 0.244
V5 0.500 0.000 0.000
V6 0.500 0.500 0.000
O1 0.004 0.001 0.254
O2 0.008 0.495 0.251
O3 0.246 0.247 0.493
O4 0.249 0.752 0.501
O5 0.251 0.754 0.991
O6 0.252 0.246 0.004
O7 0.493 0.504 0.750
O8 0.498 0.995 0.754
```